Calculated X-ray powder pattern of Ce2EuGe for λ = 1.5418 Å (Cu Kα), from a crystal structure in Alexandria, relaxed with GGA-PBE.
Kinematic intensities with the Lorentz-polarization factor, no thermal factor.

Largest 10 diffraction maxima, sorted by position, 2θ = 10–90°:
| index | d_spacing | 2θ (°) | intensity |
| --- | --- | --- | --- |
| 1 0 0 | 4.655 | 19.07 | 4 |
| 1 0 1 | 3.336 | 26.72 | 4 |
| 1 1 1 | 2.712 | 33.03 | 100 |
| 0 0 2 | 2.392 | 37.60 | 18 |
| 2 0 0 | 2.328 | 38.69 | 32 |
| 2 0 2 | 1.668 | 55.05 | 23 |
| 2 2 0 | 1.646 | 55.86 | 11 |
| 1 1 3 | 1.435 | 64.98 | 14 |
| 3 1 1 | 1.407 | 66.45 | 26 |
| 2 2 2 | 1.356 | 69.30 | 12 |

Atomic structure:
Cell lengths 4.6551, 4.6551, 4.7844 Å; angles 90.00, 90.00, 90.00 degrees
Space group P4/mmm (No. 123)
Inequivalent atoms, fractional coordinates:
1 Ce 0.0000 0.5000 0.0000
2 Eu 0.0000 0.0000 0.5000
3 Ge 0.5000 0.5000 0.5000



Calculated X-ray powder pattern of CeEuMgGe for λ = 1.5418 Å (Cu Kα), from a crystal structure in Alexandria, relaxed with GGA-PBE.
Kinematic intensities with the Lorentz-polarization factor, no thermal factor.

Largest 10 diffraction maxima, sorted by position, 2θ = 10–90°:
| index | d_spacing | 2θ (°) | intensity |
| --- | --- | --- | --- |
| 1 1 1 | 4.343 | 20.45 | 4 |
| 2 0 0 | 3.761 | 23.66 | 29 |
| 2 2 0 | 2.659 | 33.70 | 100 |
| 2 2 2 | 2.171 | 41.59 | 9 |
| 4 0 0 | 1.880 | 48.40 | 18 |
| 4 2 0 | 1.682 | 54.56 | 12 |
| 4 2 2 | 1.535 | 60.28 | 37 |
| 4 4 0 | 1.330 | 70.87 | 11 |
| 6 0 0 | 1.254 | 75.89 | 6 |
| 6 2 0 | 1.189 | 80.81 | 16 |

Atomic structure:
Cell lengths 7.5220, 7.5220, 7.5220 Å; angles 90.00, 90.00, 90.00 degrees
Space group F-43m (No. 216)
Inequivalent atoms, fractional coordinates:
1 Ce 0.0000 0.0000 0.0000
2 Eu 0.0000 0.0000 0.5000
3 Mg 0.2500 0.2500 0.7500
4 Ge 0.2500 0.2500 0.2500



Calculated X-ray powder pattern of NaCeEuHg for λ = 1.5418 Å (Cu Kα), from a crystal structure in Alexandria, relaxed with GGA-PBE.
Kinematic intensities with the Lorentz-polarization factor, no thermal factor.

Largest 10 diffraction maxima, sorted by position, 2θ = 10–90°:
| index | d_spacing | 2θ (°) | intensity |
| --- | --- | --- | --- |
| 1 1 1 | 4.560 | 19.47 | 25 |
| 2 2 0 | 2.793 | 32.05 | 100 |
| 3 1 1 | 2.381 | 37.78 | 15 |
| 4 0 0 | 1.975 | 45.96 | 18 |
| 3 3 1 | 1.812 | 50.36 | 7 |
| 4 2 2 | 1.612 | 57.13 | 39 |
| 5 1 1 | 1.520 | 60.95 | 5 |
| 4 4 0 | 1.396 | 67.03 | 12 |
| 5 3 1 | 1.335 | 70.54 | 5 |
| 6 2 0 | 1.249 | 76.24 | 17 |

Atomic structure:
Cell lengths 7.8984, 7.8984, 7.8984 Å; angles 90.00, 90.00, 90.00 degrees
Space group F-43m (No. 216)
Inequivalent atoms, fractional coordinates:
1 Na 0.0000 0.0000 0.0000
2 Ce 0.2500 0.2500 0.7500
3 Eu 0.2500 0.2500 0.2500
4 Hg 0.0000 0.0000 0.5000